No. 1
Cu3SbS3: computed XRD peak list (Cu Ka), based on a cell relaxed with PBE.
Kinematic intensities with the Lorentz-polarization factor, no thermal factor.

Unit cell a=7.844 b=10.269 c=13.405 alpha=90.00 beta=90.27 gamma=90.00
Atoms (fractional coordinates):
Cu 0.061 0.039 0.135
Cu 0.061 0.461 0.635
Cu 0.157 0.598 0.798
Cu 0.157 0.902 0.298
Cu 0.195 0.098 0.581
Cu 0.195 0.402 0.081
Cu 0.307 0.604 0.330
Cu 0.307 0.896 0.830
Cu 0.349 0.101 0.048
Cu 0.349 0.399 0.548
Cu 0.434 0.529 0.899
Cu 0.434 0.971 0.399
Cu 0.566 0.029 0.601
Cu 0.566 0.471 0.101
Cu 0.651 0.601 0.452
Cu 0.651 0.899 0.952
Cu 0.693 0.104 0.170
Cu 0.693 0.396 0.670
Cu 0.805 0.598 0.919
Cu 0.805 0.902 0.419
Cu 0.843 0.098 0.702
Cu 0.843 0.402 0.202
Cu 0.939 0.539 0.365
Cu 0.939 0.961 0.865
Sb 0.213 0.745 0.055
Sb 0.213 0.755 0.555
Sb 0.283 0.247 0.804
Sb 0.283 0.253 0.304
Sb 0.717 0.747 0.696
Sb 0.717 0.753 0.196
Sb 0.787 0.245 0.445
Sb 0.787 0.255 0.945
S 0.051 0.245 0.673
S 0.051 0.255 0.173
S 0.174 0.070 0.413
S 0.174 0.430 0.913
S 0.182 0.066 0.912
S 0.182 0.434 0.412
S 0.317 0.570 0.659
S 0.317 0.930 0.159
S 0.329 0.567 0.164
S 0.329 0.933 0.664
S 0.446 0.750 0.426
S 0.446 0.750 0.926
S 0.554 0.250 0.074
S 0.554 0.250 0.574
S 0.671 0.067 0.336
S 0.671 0.433 0.836
S 0.683 0.070 0.841
S 0.683 0.430 0.341
S 0.818 0.566 0.588
S 0.818 0.934 0.088
S 0.826 0.570 0.087
S 0.826 0.930 0.587
S 0.949 0.745 0.827
S 0.949 0.755 0.327

Most intense lines, 2θ = 10–80°, most intense first:
two_theta	I_rel
31.49	100
28.98	37
22.67	33
29.27	33
50.13	26
33.93	25
36.05	20
30.28	17
52.09	14
53.55	13

No. 2
Cs2ZnH4: computed XRD peak list (Cu Ka), based on a cell relaxed with PBE.
Kinematic intensities with the Lorentz-polarization factor, no thermal factor.

Unit cell a=8.696 b=6.375 c=11.141 alpha=90.00 beta=90.00 gamma=90.00
Atoms (fractional coordinates):
Cs 0.013 0.250 0.189
Cs 0.162 0.750 0.407
Cs 0.338 0.250 0.907
Cs 0.487 0.750 0.689
Cs 0.513 0.250 0.311
Cs 0.662 0.750 0.093
Cs 0.838 0.250 0.593
Cs 0.987 0.750 0.811
Zn 0.243 0.750 0.084
Zn 0.257 0.250 0.584
Zn 0.743 0.750 0.416
Zn 0.757 0.250 0.916
H 0.052 0.750 0.094
H 0.186 0.036 0.652
H 0.186 0.464 0.652
H 0.196 0.250 0.441
H 0.304 0.750 0.941
H 0.314 0.536 0.152
H 0.314 0.964 0.152
H 0.448 0.250 0.594
H 0.552 0.750 0.406
H 0.686 0.036 0.848
H 0.686 0.464 0.848
H 0.696 0.250 0.059
H 0.804 0.750 0.559
H 0.814 0.536 0.348
H 0.814 0.964 0.348
H 0.948 0.250 0.906

Most intense lines, 2θ = 10–80°, most intense first:
two_theta	I_rel
26.05	100
23.55	56
27.80	52
27.99	45
38.59	23
47.46	16
42.96	14
31.90	13
48.37	12
55.36	11

No. 3
Ga3Ge: computed XRD peak list (Cu Ka), based on a cell relaxed with PBE.
Kinematic intensities with the Lorentz-polarization factor, no thermal factor.

Unit cell a=6.181 b=6.181 c=4.727 alpha=90.00 beta=90.00 gamma=120.00
Atoms (fractional coordinates):
Ga 0.166 0.333 0.250
Ga 0.166 0.834 0.250
Ga 0.333 0.166 0.750
Ga 0.667 0.834 0.250
Ga 0.834 0.166 0.750
Ga 0.834 0.667 0.750
Ge 0.333 0.667 0.750
Ge 0.667 0.333 0.250

Most intense lines, 2θ = 10–80°, most intense first:
two_theta	I_rel
38.66	100
33.48	25
38.07	23
73.17	19
59.85	18
69.19	17
73.55	14
51.59	14
70.35	3

No. 4
Be4Si2H2O9: computed XRD peak list (Cu Ka), based on a cell relaxed with PBE.
Kinematic intensities with the Lorentz-polarization factor, no thermal factor.

Unit cell a=8.864 b=8.864 c=4.612 alpha=90.00 beta=90.00 gamma=120.62
Atoms (fractional coordinates):
Be 0.106 0.546 0.996
Be 0.120 0.225 0.000
Be 0.225 0.120 0.500
Be 0.454 0.894 0.996
Be 0.546 0.106 0.496
Be 0.775 0.880 0.000
Be 0.880 0.775 0.500
Be 0.894 0.454 0.496
Si 0.210 0.439 0.497
Si 0.439 0.210 0.997
Si 0.561 0.790 0.497
Si 0.790 0.561 0.997
H 0.136 0.864 0.310
H 0.198 0.802 0.798
H 0.802 0.198 0.298
H 0.864 0.136 0.810
O 0.082 0.500 0.344
O 0.088 0.912 0.448
O 0.164 0.413 0.845
O 0.168 0.253 0.348
O 0.246 0.754 0.938
O 0.253 0.168 0.848
O 0.413 0.164 0.345
O 0.414 0.586 0.438
O 0.500 0.082 0.844
O 0.500 0.918 0.344
O 0.586 0.414 0.938
O 0.587 0.836 0.845
O 0.747 0.832 0.348
O 0.754 0.246 0.438
O 0.832 0.747 0.848
O 0.836 0.587 0.345
O 0.912 0.088 0.948
O 0.918 0.500 0.844

Most intense lines, 2θ = 10–80°, most intense first:
two_theta	I_rel
27.92	100
20.23	89
35.30	48
39.06	44
22.48	42
20.04	29
40.21	25
40.51	22
45.41	20
34.96	18

No. 5
SrN: computed XRD peak list (Cu Ka), based on a cell relaxed with PBE.
Kinematic intensities with the Lorentz-polarization factor, no thermal factor.

Unit cell a=5.389 b=5.389 c=5.389 alpha=90.00 beta=90.00 gamma=90.00
Atoms (fractional coordinates):
Sr 0.000 0.000 0.000
Sr 0.000 0.500 0.500
Sr 0.500 0.000 0.500
Sr 0.500 0.500 0.000
N 0.000 0.000 0.500
N 0.000 0.500 0.000
N 0.500 0.000 0.000
N 0.500 0.500 0.500

Most intense lines, 2θ = 10–80°, most intense first:
two_theta	I_rel
28.69	100
33.25	97
47.74	67
56.65	48
79.55	28
59.42	22
77.16	20
69.81	10

No. 6
K2CeAgCl6: computed XRD peak list (Cu Ka), based on a cell relaxed with PBE.
Kinematic intensities with the Lorentz-polarization factor, no thermal factor.

Unit cell a=7.728 b=7.728 c=7.728 alpha=60.00 beta=60.00 gamma=60.00
Atoms (fractional coordinates):
K 0.250 0.250 0.250
K 0.750 0.750 0.750
Ce 0.000 0.000 0.000
Ag 0.500 0.500 0.500
Cl 0.250 0.250 0.750
Cl 0.250 0.750 0.250
Cl 0.250 0.750 0.750
Cl 0.750 0.250 0.250
Cl 0.750 0.250 0.750
Cl 0.750 0.750 0.250

Most intense lines, 2θ = 10–80°, most intense first:
two_theta	I_rel
23.02	100
16.22	100
32.78	90
47.03	60
36.78	51
40.43	46
50.08	26
78.23	25
63.72	23
52.99	20

No. 7
CaAg2O4: computed XRD peak list (Cu Ka), based on a cell relaxed with PBE.
Kinematic intensities with the Lorentz-polarization factor, no thermal factor.

Unit cell a=6.645 b=6.645 c=16.155 alpha=90.00 beta=90.00 gamma=120.00
Atoms (fractional coordinates):
Ca 0.000 0.000 0.000
Ca 0.000 0.000 0.240
Ca 0.333 0.667 0.570
Ca 0.667 0.333 0.286
Ca 0.667 0.333 0.660
Ca 0.667 0.333 0.907
Ag 0.000 0.000 0.620
Ag 0.165 0.331 0.785
Ag 0.165 0.835 0.785
Ag 0.328 0.164 0.452
Ag 0.333 0.667 0.328
Ag 0.333 0.667 0.952
Ag 0.501 0.002 0.120
Ag 0.501 0.499 0.120
Ag 0.669 0.835 0.785
Ag 0.836 0.164 0.452
Ag 0.836 0.672 0.452
Ag 0.998 0.499 0.120
O 0.000 0.000 0.380
O 0.000 0.000 0.859
O 0.041 0.521 0.862
O 0.146 0.291 0.531
O 0.146 0.854 0.531
O 0.192 0.384 0.046
O 0.192 0.808 0.046
O 0.299 0.149 0.707
O 0.333 0.667 0.194
O 0.333 0.667 0.715
O 0.361 0.181 0.189
O 0.479 0.521 0.862
O 0.479 0.959 0.862
O 0.512 0.023 0.384
O 0.512 0.488 0.384
O 0.616 0.808 0.046
O 0.667 0.333 0.046
O 0.667 0.333 0.519
O 0.709 0.854 0.531
O 0.819 0.181 0.189
O 0.819 0.639 0.189
O 0.851 0.149 0.707
O 0.851 0.701 0.707
O 0.977 0.488 0.384

Most intense lines, 2θ = 10–80°, most intense first:
two_theta	I_rel
31.62	100
38.41	45
16.35	42
50.55	35
33.05	33
55.30	30
31.76	30
55.60	29
16.46	26
50.71	13

Repeat the sixth record exactly.
K2CeAgCl6: computed XRD peak list (Cu Ka), based on a cell relaxed with PBE.
Kinematic intensities with the Lorentz-polarization factor, no thermal factor.

Unit cell a=7.728 b=7.728 c=7.728 alpha=60.00 beta=60.00 gamma=60.00
Atoms (fractional coordinates):
K 0.250 0.250 0.250
K 0.750 0.750 0.750
Ce 0.000 0.000 0.000
Ag 0.500 0.500 0.500
Cl 0.250 0.250 0.750
Cl 0.250 0.750 0.250
Cl 0.250 0.750 0.750
Cl 0.750 0.250 0.250
Cl 0.750 0.250 0.750
Cl 0.750 0.750 0.250

Most intense lines, 2θ = 10–80°, most intense first:
two_theta	I_rel
23.02	100
16.22	100
32.78	90
47.03	60
36.78	51
40.43	46
50.08	26
78.23	25
63.72	23
52.99	20